No. 1
Sm2Y4Tm5: theoretical XRD peak list (a wavelength of 1.5418 Å), based on a cell relaxed with PBE.
No peak broadening, texture or thermal motion is included.

Structural model:
Cell: 3.659 9.143 10.886 Å, 102.58 99.65 90.01°
Element x y z (fractional)
Sm1 0.116 0.005 0.232
Sm2 0.884 0.995 0.768
Y1 0.172 0.419 0.343
Y2 0.472 0.796 0.944
Y3 0.528 0.204 0.056
Y4 0.828 0.581 0.657
Tm1 0.000 0.500 0.000
Tm2 0.250 0.828 0.500
Tm3 0.382 0.306 0.764
Tm4 0.618 0.694 0.236
Tm5 0.750 0.172 0.500

Peak list (10 most intense, 2θ = 15–90°, sorted by position)
2theta	d [Å]	I/Imax
29.48	3.030	35
30.29	2.950	37
31.15	2.871	59
32.53	2.753	100
32.59	2.748	96
34.27	2.617	23
37.97	2.370	17
49.84	1.830	18
56.27	1.635	15
59.95	1.543	18

No. 2
Ge7HO20: theoretical XRD peak list (a wavelength of 1.5418 Å), based on a cell relaxed with PBE.
No peak broadening, texture or thermal motion is included.

Structural model:
Cell: 7.851 7.851 7.851 Å, 90.00 90.00 90.00°
Element x y z (fractional)
Ge1 0.000 0.000 0.500
Ge2 0.000 0.500 0.000
Ge3 0.157 0.157 0.843
Ge4 0.157 0.843 0.157
Ge5 0.500 0.000 0.000
Ge6 0.843 0.157 0.157
Ge7 0.843 0.843 0.843
H1 0.000 0.000 0.000
O1 0.110 0.110 0.110
O2 0.110 0.890 0.890
O3 0.135 0.135 0.618
O4 0.135 0.382 0.865
O5 0.135 0.618 0.135
O6 0.135 0.865 0.382
O7 0.277 0.277 0.277
O8 0.277 0.723 0.723
O9 0.382 0.135 0.865
O10 0.382 0.865 0.135
O11 0.618 0.135 0.135
O12 0.618 0.865 0.865
O13 0.723 0.277 0.723
O14 0.723 0.723 0.277
O15 0.865 0.135 0.382
O16 0.865 0.382 0.135
O17 0.865 0.618 0.865
O18 0.865 0.865 0.618
O19 0.890 0.110 0.890
O20 0.890 0.890 0.110

Peak list (10 most intense, 2θ = 15–90°, sorted by position)
2theta	d [Å]	I/Imax
19.58	4.533	100
27.83	3.205	97
32.25	2.776	66
34.26	2.617	41
36.18	2.483	48
38.01	2.367	66
49.24	1.851	32
53.48	1.713	24
58.81	1.570	30
61.36	1.511	34

No. 3
UH2Br5: theoretical XRD peak list (a wavelength of 1.5418 Å), based on a cell relaxed with PBE.
No peak broadening, texture or thermal motion is included.

Structural model:
Cell: 6.510 6.849 14.310 Å, 80.03 80.77 70.66°
Element x y z (fractional)
U1 0.063 0.181 0.241
U2 0.937 0.819 0.759
H1 0.192 0.585 0.799
H2 0.402 0.010 0.655
H3 0.598 0.990 0.345
H4 0.808 0.415 0.201
Br1 0.069 0.025 0.863
Br2 0.080 0.422 0.364
Br3 0.267 0.359 0.096
Br4 0.275 0.904 0.607
Br5 0.423 0.852 0.297
Br6 0.577 0.148 0.703
Br7 0.725 0.096 0.393
Br8 0.733 0.641 0.904
Br9 0.920 0.578 0.636
Br10 0.931 0.975 0.137

Peak list (10 most intense, 2θ = 15–90°, sorted by position)
2theta	d [Å]	I/Imax
15.93	5.563	42
16.51	5.369	40
18.19	4.878	38
18.99	4.673	28
22.62	3.931	38
23.96	3.714	100
27.86	3.203	68
30.06	2.973	29
33.61	2.667	41
45.73	1.984	27

No. 4
CaMnCl4: theoretical XRD peak list (a wavelength of 1.5418 Å), based on a cell relaxed with PBE.
No peak broadening, texture or thermal motion is included.

Structural model:
Cell: 6.564 3.908 6.774 Å, 90.00 93.19 90.00°
Element x y z (fractional)
Ca1 0.000 0.000 0.000
Mn1 0.000 0.500 0.500
Cl1 0.211 0.000 0.363
Cl2 0.217 0.500 0.824
Cl3 0.783 0.500 0.176
Cl4 0.789 0.000 0.637

Peak list (10 most intense, 2θ = 15–90°, sorted by position)
2theta	d [Å]	I/Imax
29.37	3.041	100
30.41	2.939	53
37.68	2.387	60
38.78	2.322	16
39.34	2.290	23
46.49	1.953	52
47.97	1.897	14
48.33	1.883	15
50.35	1.812	29
56.56	1.627	15

No. 5
Pr2Ni4SnSb3: theoretical XRD peak list (a wavelength of 1.5418 Å), based on a cell relaxed with PBE.
No peak broadening, texture or thermal motion is included.

Structural model:
Cell: 4.445 4.445 10.221 Å, 90.00 90.00 90.00°
Element x y z (fractional)
Pr1 0.000 0.500 0.239
Pr2 0.500 0.000 0.761
Ni1 0.000 0.000 0.000
Ni2 0.000 0.500 0.628
Ni3 0.500 0.000 0.372
Ni4 0.500 0.500 0.000
Sn1 0.000 0.000 0.500
Sb1 0.000 0.500 0.874
Sb2 0.500 0.000 0.126
Sb3 0.500 0.500 0.500

Peak list (10 most intense, 2θ = 15–90°, sorted by position)
2theta	d [Å]	I/Imax
28.40	3.143	14
33.13	2.704	66
33.47	2.677	100
40.59	2.222	71
45.76	1.983	21
49.05	1.857	23
53.36	1.717	33
58.76	1.571	23
65.49	1.425	21
69.34	1.355	24

No. 6
Nb3Zn2C: theoretical XRD peak list (a wavelength of 1.5418 Å), based on a cell relaxed with PBE.
No peak broadening, texture or thermal motion is included.

Structural model:
Cell: 7.093 7.093 7.093 Å, 90.00 90.00 90.00°
Element x y z (fractional)
Nb1 0.042 0.125 0.792
Nb2 0.125 0.792 0.042
Nb3 0.208 0.542 0.375
Nb4 0.292 0.458 0.875
Nb5 0.375 0.208 0.542
Nb6 0.458 0.875 0.292
Nb7 0.542 0.375 0.208
Nb8 0.625 0.708 0.958
Nb9 0.708 0.958 0.625
Nb10 0.792 0.042 0.125
Nb11 0.875 0.292 0.458
Nb12 0.958 0.625 0.708
Zn1 0.071 0.929 0.429
Zn2 0.179 0.179 0.179
Zn3 0.321 0.821 0.679
Zn4 0.429 0.071 0.929
Zn5 0.571 0.571 0.571
Zn6 0.679 0.321 0.821
Zn7 0.821 0.679 0.321
Zn8 0.929 0.429 0.071
C1 0.125 0.375 0.625
C2 0.375 0.625 0.125
C3 0.625 0.125 0.375
C4 0.875 0.875 0.875

Peak list (10 most intense, 2θ = 15–90°, sorted by position)
2theta	d [Å]	I/Imax
38.06	2.364	100
40.21	2.243	58
42.26	2.139	20
47.99	1.896	7
54.92	1.672	7
58.17	1.586	9
67.31	1.391	23
71.65	1.317	22
80.04	1.199	7
81.41	1.182	7

No. 7
RbNpAl2O6: theoretical XRD peak list (a wavelength of 1.5418 Å), based on a cell relaxed with PBE.
No peak broadening, texture or thermal motion is included.

Structural model:
Cell: 7.476 7.476 6.015 Å, 101.82 101.82 89.99°
Element x y z (fractional)
Rb1 0.088 0.912 0.750
Rb2 0.912 0.088 0.250
Np1 0.300 0.700 0.250
Np2 0.700 0.300 0.750
Al1 0.210 0.370 0.840
Al2 0.370 0.210 0.340
Al3 0.630 0.790 0.660
Al4 0.790 0.630 0.160
O1 0.017 0.711 0.278
O2 0.228 0.616 0.909
O3 0.287 0.355 0.143
O4 0.289 0.983 0.222
O5 0.355 0.287 0.643
O6 0.384 0.772 0.591
O7 0.616 0.228 0.409
O8 0.645 0.713 0.357
O9 0.711 0.017 0.778
O10 0.713 0.645 0.857
O11 0.772 0.384 0.091
O12 0.983 0.289 0.722

Peak list (10 most intense, 2θ = 15–90°, sorted by position)
2theta	d [Å]	I/Imax
17.51	5.064	100
21.55	4.123	17
24.35	3.655	27
26.00	3.427	42
26.79	3.328	14
31.07	2.879	23
32.33	2.769	18
35.48	2.530	18
36.91	2.436	26
43.74	2.070	19